This entry pairs a crystal structure of GePPd4 with its computed X-ray powder pattern. Radiation: Cu Kα (λ = 1.5418 Å). Structure: a cell relaxed with PBE.
Intensities are scaled so that the largest is 100.

Atomic structure:
a = 6.717 Å, b = 3.263 Å, c = 16.303 Å
α = 90.00°, β = 90.00°, γ = 90.00°
Space group Pnma (No. 62)
Unique sites:
Ge  0.211  0.250  0.189
P  0.242  0.750  0.446
Pd  0.012  0.750  0.285
Pd  0.043  0.750  0.569
Pd  0.105  0.750  0.059
Pd  0.160  0.750  0.844

Principal peaks in the range 2θ = 5–70°, low angle first:
(hkl), 2θ (°), I_rel
1 1 4, 37.8, 100.0
2 1 0, 38.5, 35.9
2 1 1, 38.9, 23.6
0 1 5, 39.1, 21.5
3 0 1, 40.7, 15.8
2 1 3, 42.0, 25.6
2 0 6, 42.8, 12.5
0 0 8, 44.5, 15.6
3 0 4, 46.3, 21.6
0 2 0, 56.4, 22.0

This entry pairs a crystal structure of Cs3CdP2 with its computed X-ray powder pattern. Radiation: Cu Kα (λ = 1.5418 Å). Structure: a cell relaxed with PBE.
Intensities are scaled so that the largest is 100.

Atomic structure:
a = 8.497 Å, b = 15.223 Å, c = 7.339 Å
α = 90.00°, β = 90.00°, γ = 90.00°
Space group Ibam (No. 72)
Unique sites:
Cs  0.000  0.000  0.250
Cs  0.200  0.321  0.000
Cd  0.000  0.500  0.250
P  0.175  0.414  0.500

Principal peaks in the range 2θ = 5–70°, low angle first:
(hkl), 2θ (°), I_rel
0 2 0, 11.6, 26.3
1 2 1, 19.8, 48.1
2 2 0, 24.0, 100.0
0 2 2, 27.0, 82.8
1 4 1, 28.4, 83.8
2 4 0, 31.6, 36.7
2 0 2, 32.2, 96.5
0 4 2, 33.9, 35.1
0 6 0, 35.4, 24.2
2 6 2, 48.6, 42.7

This entry pairs a crystal structure of CaLa2Tb4 with its computed X-ray powder pattern. Radiation: Cu Kα (λ = 1.5418 Å). Structure: a cell relaxed with PBE.
Intensities are scaled so that the largest is 100.

Atomic structure:
a = 3.6465 Å, b = 3.6465 Å, c = 63.0270 Å
α = 90.00°, β = 90.00°, γ = 120.00°
Space group R-3m (No. 166, hexagonal axes)
Unique sites:
Ca  0.0000  0.0000  0.0000
La  0.0000  0.0000  0.4296
Tb  0.0000  0.0000  0.1442
Tb  0.0000  0.0000  0.2832

Principal peaks in the range 2θ = 5–70°, low angle first:
(hkl), 2θ (°), I_rel
0 0 9, 12.6, 7.6
0 0 21, 29.8, 32.4
1 0 7, 30.0, 100.0
0 1 14, 34.7, 66.7
1 0 28, 49.7, 22.4
1 1 0, 50.0, 24.2
0 1 35, 59.1, 12.6
1 1 21, 59.3, 27.5
0 2 7, 59.4, 14.3
2 0 14, 62.3, 12.2